# 1
For Li7Pd2, a DFT-relaxed cell (GGA-PBE, OQMD) gives the simulated X-ray powder pattern in this record (Cu Ka).
No peak broadening, texture or thermal motion is included.

The 10 most intense peaks (2θ from 10° to 90°), by angle:
hkl  2theta  Rel. int.
0 0 1  16.3  100
1 1 0  20.1  18
1 2 0  26.0  59
1 2 1  30.8  51
0 0 2  32.9  19
2 1 0  37.1  15
1 3 1  37.7  15
2 1 1  40.8  25
0 4 1  41.9  20
1 2 2  42.4  30

Structural model:
Unit cell a=5.016 b=9.400 c=5.450 alpha=90.00 beta=90.00 gamma=90.00
Space group Pbam (No. 55)
Unique sites:
Li 0.000 0.000 0.000 [2 per cell]
Li 0.168 0.393 0.297 [8 per cell]
Li 0.185 0.687 0.000 [4 per cell]
Pd 0.150 0.137 0.500 [4 per cell]

# 2
For LiPm2Pd5, a DFT-relaxed cell (GGA-PBE, OQMD) gives the simulated X-ray powder pattern in this record (Cu Ka).
No peak broadening, texture or thermal motion is included.

The 10 most intense peaks (2θ from 10° to 90°), by angle:
hkl  2theta  Rel. int.
1 0 1  18.4  9
1 1 0  20.8  10
2 0 2  37.2  100
2 2 0  42.4  35
0 0 4  44.8  15
4 0 0  61.5  11
2 2 4  63.4  21
4 2 2  74.1  26
2 0 6  77.5  11
4 0 4  79.3  11

Structural model:
Unit cell a=6.028 b=6.028 c=8.092 alpha=90.00 beta=90.00 gamma=90.00
Space group I4mm (No. 107)
Unique sites:
Li 0.000 0.000 0.000 [2 per cell]
Pm 0.000 0.500 0.496 [4 per cell]
Pd 0.000 0.000 0.495 [2 per cell]
Pd 0.249 0.249 0.746 [8 per cell]

# 3
For Li4Tl2PdPt, a DFT-relaxed cell (GGA-PBE, OQMD) gives the simulated X-ray powder pattern in this record (Cu Ka).
No peak broadening, texture or thermal motion is included.

The 10 most intense peaks (2θ from 10° to 90°), by angle:
hkl  2theta  Rel. int.
1 0 0  19.5  2
1 0 1  23.9  100
2 0 0  39.6  90
2 1 1  46.8  51
2 2 0  57.2  16
3 0 1  62.9  21
3 1 2  71.8  32
3 0 3  76.9  8
3 2 1  76.9  8
4 0 0  85.2  10

Structural model:
Unit cell a=4.553 b=4.553 c=6.447 alpha=90.00 beta=90.00 gamma=90.00
Space group P-4m2 (No. 115)
Unique sites:
Li 0.000 0.000 0.000 [1 per cell]
Li 0.000 0.500 0.749 [2 per cell]
Li 0.500 0.500 0.500 [1 per cell]
Tl 0.000 0.500 0.247 [2 per cell]
Pd 0.500 0.500 0.000 [1 per cell]
Pt 0.000 0.000 0.500 [1 per cell]

# 4
For LiTb2Pd5, a DFT-relaxed cell (GGA-PBE, OQMD) gives the simulated X-ray powder pattern in this record (Cu Ka).
No peak broadening, texture or thermal motion is included.

The 10 most intense peaks (2θ from 10° to 90°), by angle:
hkl  2theta  Rel. int.
1 1 0  21.1  12
1 1 2  30.9  9
2 0 2  37.7  100
2 2 0  43.0  35
0 0 4  45.6  15
4 0 0  62.4  11
2 2 4  64.4  20
4 2 2  75.3  26
2 0 6  79.0  11
4 0 4  80.6  11

Structural model:
Unit cell a=5.953 b=5.953 c=7.961 alpha=90.00 beta=90.00 gamma=90.00
Space group I4mm (No. 107)
Unique sites:
Li 0.000 0.000 0.000 [2 per cell]
Tb 0.000 0.500 0.002 [4 per cell]
Pd 0.000 0.000 0.502 [2 per cell]
Pd 0.250 0.250 0.251 [8 per cell]

# 5
For Li2ZnPd, a DFT-relaxed cell (GGA-PBE, OQMD) gives the simulated X-ray powder pattern in this record (Cu Ka).
No peak broadening, texture or thermal motion is included.

The 10 most intense peaks (2θ from 10° to 90°), by angle:
hkl  2theta  Rel. int.
1 0 1  25.4  100
1 1 2  42.1  62
2 0 0  42.2  30
1 0 3  49.7  16
2 1 1  50.0  31
2 2 0  61.3  10
2 1 3  67.2  12
2 0 4  76.8  10
3 1 2  77.1  19
3 2 1  82.9  7

Structural model:
Unit cell a=4.279 b=4.279 c=6.095 alpha=90.00 beta=90.00 gamma=90.00
Space group P-4m2 (No. 115)
Unique sites:
Li 0.000 0.000 0.000 [1 per cell]
Li 0.000 0.500 0.245 [2 per cell]
Li 0.500 0.500 0.500 [1 per cell]
Zn 0.000 0.000 0.500 [1 per cell]
Zn 0.500 0.500 0.000 [1 per cell]
Pd 0.000 0.500 0.750 [2 per cell]

# 6
For LiPmSnPt, a DFT-relaxed cell (GGA-PBE, OQMD) gives the simulated X-ray powder pattern in this record (Cu Ka).
No peak broadening, texture or thermal motion is included.

The 10 most intense peaks (2θ from 10° to 90°), by angle:
hkl  2theta  Rel. int.
1 1 1  22.5  39
2 0 0  26.1  3
2 2 0  37.2  100
3 1 1  44.0  21
4 0 0  53.7  18
3 3 1  58.9  9
4 2 2  67.1  36
5 1 1  71.8  7
4 4 0  79.3  12
5 3 1  83.8  7

Structural model:
Unit cell a=6.831 b=6.831 c=6.831 alpha=90.00 beta=90.00 gamma=90.00
Space group F-43m (No. 216)
Unique sites:
Li 0.000 0.000 0.000 [4 per cell]
Pm 0.250 0.250 0.750 [4 per cell]
Sn 0.250 0.250 0.250 [4 per cell]
Pt 0.000 0.000 0.500 [4 per cell]

Question: Which formula does entry 2 have?
Answer: LiPm2Pd5

Please write out number 6 again, unchanged.
For LiPmSnPt, a DFT-relaxed cell (GGA-PBE, OQMD) gives the simulated X-ray powder pattern in this record (Cu Ka).
No peak broadening, texture or thermal motion is included.

The 10 most intense peaks (2θ from 10° to 90°), by angle:
hkl  2theta  Rel. int.
1 1 1  22.5  39
2 0 0  26.1  3
2 2 0  37.2  100
3 1 1  44.0  21
4 0 0  53.7  18
3 3 1  58.9  9
4 2 2  67.1  36
5 1 1  71.8  7
4 4 0  79.3  12
5 3 1  83.8  7

Structural model:
Unit cell a=6.831 b=6.831 c=6.831 alpha=90.00 beta=90.00 gamma=90.00
Space group F-43m (No. 216)
Unique sites:
Li 0.000 0.000 0.000 [4 per cell]
Pm 0.250 0.250 0.750 [4 per cell]
Sn 0.250 0.250 0.250 [4 per cell]
Pt 0.000 0.000 0.500 [4 per cell]